Entry 1:
Computed powder diffractogram
Compound: Ag8Te6Au
Radiation: Cu Kα
Structure: a crystal structure in Alexandria, relaxed with PBE
Lines closer than 0.1° are merged.

```
data_Ag8Te6Au
_space_group_name_H-M_alt 'R -3'
_space_group_IT_number 148
_space_group_name_Hall '-R 3'
_cell_length_a 7.5099
_cell_length_b 7.5099
_cell_length_c 23.3939
_cell_angle_alpha 90.00
_cell_angle_beta 90.00
_cell_angle_gamma 120.00
loop_
_atom_site_label
_atom_site_fract_x
_atom_site_fract_y
_atom_site_fract_z
Ag1 0.0000 0.0000 0.0746
Ag2 0.0352 0.7716 0.6436
Te1 0.0144 0.3707 0.9003
Au1 0.0000 0.0000 0.5000
```

Top 6 peaks for 15 to 90 degrees two-theta, sorted by position:
- (2 -1 3), 3.383 Å, 2θ 26.3, I = 819
- (1 0 7), 2.973 Å, 2θ 30.1, I = 553
- (2 -1 6), 2.705 Å, 2θ 33.1, I = 924
- (2 0 5), 2.670 Å, 2θ 33.6, I = 592
- (3 0 0), 2.168 Å, 2θ 41.7, I = 771
- (1 1 9), 2.137 Å, 2θ 42.3, I = 1000

=====

Entry 2:
Computed powder diffractogram
Compound: Ag2TeAu
Radiation: Cu Kα
Structure: a crystal structure in Alexandria, relaxed with PBE
Lines closer than 0.1° are merged.

```
data_Ag2TeAu
_space_group_name_H-M_alt 'C 1 m 1'
_space_group_IT_number 8
_cell_length_a 9.356
_cell_length_b 3.052
_cell_length_c 6.992
_cell_angle_alpha 90.00
_cell_angle_beta 105.49
_cell_angle_gamma 90.00
loop_
_space_group_symop_operation_xyz
'x,y,z'
'x,-y,z'
'x+1/2,y+1/2,z'
'x+1/2,-y+1/2,z'
loop_
_atom_site_label
_atom_site_fract_x
_atom_site_fract_y
_atom_site_fract_z
Ag1 0.000 0.000 0.000
Ag2 0.183 0.500 0.791
Te1 0.309 0.000 0.221
Au1 0.378 0.000 0.629
```

Top 6 peaks for 15 to 90 degrees two-theta, sorted by position:
- (1 1 -1), 2.743 Å, 2θ 32.6, I = 1000
- (2 0 2), 2.408 Å, 2θ 37.3, I = 732
- (4 0 -1), 2.333 Å, 2θ 38.6, I = 622
- (1 1 -2), 2.293 Å, 2θ 39.3, I = 887
- (2 0 -3), 2.266 Å, 2θ 39.8, I = 570
- (3 1 0), 2.142 Å, 2θ 42.2, I = 843

=====

Entry 3:
Computed powder diffractogram
Compound: Ag3Te32Au13
Radiation: Cu Kα
Structure: a crystal structure in Alexandria, relaxed with PBE
Lines closer than 0.1° are merged.

```
data_Ag3Te32Au13
_space_group_name_H-M_alt 'C 1 2 1'
_space_group_IT_number 5
_cell_length_a 33.728
_cell_length_b 9.090
_cell_length_c 8.977
_cell_angle_alpha 90.00
_cell_angle_beta 90.05
_cell_angle_gamma 90.00
loop_
_space_group_symop_operation_xyz
'x,y,z'
'-x,y,-z'
'x+1/2,y+1/2,z'
'-x+1/2,y+1/2,-z'
loop_
_atom_site_label
_atom_site_fract_x
_atom_site_fract_y
_atom_site_fract_z
Ag1 0.000 0.000 0.000
Ag2 0.125 0.499 0.316
Te1 0.003 0.461 0.698
Te2 0.003 0.957 0.696
Te3 0.060 0.237 0.965
Te4 0.061 0.728 0.965
Te5 0.064 0.267 0.359
Te6 0.064 0.773 0.361
Te7 0.125 0.023 0.018
Te8 0.125 0.066 0.621
Te9 0.126 0.522 0.008
Te10 0.126 0.572 0.616
Te11 0.186 0.266 0.359
Te12 0.186 0.774 0.361
Te13 0.190 0.234 0.967
Te14 0.190 0.735 0.966
Te15 0.247 0.460 0.699
Te16 0.248 0.962 0.699
Au1 0.000 0.489 0.000
Au2 0.063 0.257 0.663
Au3 0.063 0.756 0.664
Au4 0.125 0.015 0.321
Au5 0.187 0.256 0.664
Au6 0.188 0.761 0.665
Au7 0.249 0.490 0.000
```

Top 6 peaks for 15 to 90 degrees two-theta, sorted by position:
- (8 2 0), 3.091 Å, 2θ 28.9, I = 1000
- (0 0 3), 2.992 Å, 2θ 29.9, I = 417
- (8 2 -3), 2.151 Å, 2θ 42.0, I = 296
- (8 2 3), 2.149 Å, 2θ 42.0, I = 297
- (16 0 0), 2.108 Å, 2θ 42.9, I = 189
- (16 0 3), 1.723 Å, 2θ 53.1, I = 165

=====

Entry 4:
Computed powder diffractogram
Compound: Ag5Te3Au
Radiation: Cu Kα
Structure: a crystal structure in Alexandria, relaxed with PBE
Lines closer than 0.1° are merged.

```
data_Ag5Te3Au
_space_group_name_H-M_alt 'C 1 2/c 1'
_space_group_IT_number 15
_cell_length_a 15.019
_cell_length_b 6.106
_cell_length_c 10.053
_cell_angle_alpha 90.00
_cell_angle_beta 104.73
_cell_angle_gamma 90.00
loop_
_space_group_symop_operation_xyz
'x,y,z'
'-x,-y,-z'
'-x,y,-z+1/2'
'x,-y,z+1/2'
'x+1/2,y+1/2,z'
'-x+1/2,-y+1/2,-z'
'-x+1/2,y+1/2,-z+1/2'
'x+1/2,-y+1/2,z+1/2'
loop_
_atom_site_label
_atom_site_fract_x
_atom_site_fract_y
_atom_site_fract_z
Ag1 0.000 0.248 0.250
Ag2 0.165 0.248 0.634
Ag3 0.168 0.244 0.139
Te1 0.000 0.000 0.000
Te2 0.167 0.499 0.880
Au1 0.000 0.256 0.750
```

Top 6 peaks for 15 to 90 degrees two-theta, sorted by position:
- (1 1 -2), 3.873 Å, 2θ 23.0, I = 469
- (3 1 0), 3.794 Å, 2θ 23.4, I = 487
- (6 0 0), 2.421 Å, 2θ 37.1, I = 716
- (2 2 2), 2.338 Å, 2θ 38.5, I = 1000
- (4 0 -4), 2.309 Å, 2θ 39.0, I = 403
- (4 2 -2), 2.255 Å, 2θ 40.0, I = 911

=====

Entry 5:
Computed powder diffractogram
Compound: ThAgAu
Radiation: Cu Kα
Structure: a crystal structure in Alexandria, relaxed with PBE
Lines closer than 0.1° are merged.

```
data_ThAgAu
_space_group_name_H-M_alt 'P -6 m 2'
_space_group_IT_number 187
_space_group_name_Hall 'P -6 2'
_cell_length_a 4.8431
_cell_length_b 4.8431
_cell_length_c 3.4174
_cell_angle_alpha 90.00
_cell_angle_beta 90.00
_cell_angle_gamma 120.00
loop_
_atom_site_label
_atom_site_fract_x
_atom_site_fract_y
_atom_site_fract_z
Th1 0.0000 0.0000 0.0000
Ag1 0.3333 0.6667 0.5000
Au1 0.6667 0.3333 0.5000
```

Top 6 peaks for 15 to 90 degrees two-theta, sorted by position:
- (1 0 1), 2.649 Å, 2θ 33.8, I = 1000
- (1 1 0), 2.422 Å, 2θ 37.1, I = 748
- (2 0 1), 1.787 Å, 2θ 51.1, I = 317
- (2 1 1), 1.438 Å, 2θ 64.8, I = 313
- (1 1 2), 1.396 Å, 2θ 67.0, I = 268
- (3 1 1), 1.101 Å, 2θ 88.9, I = 142

=====

Entry 6:
Computed powder diffractogram
Compound: ThAgAu
Radiation: Cu Kα
Structure: a crystal structure in Alexandria, relaxed with PBE
Lines closer than 0.1° are merged.

```
data_ThAgAu
_space_group_name_H-M_alt 'I m m a'
_space_group_IT_number 74
_space_group_name_Hall '-I 2b 2'
_cell_length_a 4.829
_cell_length_b 6.829
_cell_length_c 8.421
_cell_angle_alpha 90.00
_cell_angle_beta 90.00
_cell_angle_gamma 90.00
loop_
_atom_site_label
_atom_site_fract_x
_atom_site_fract_y
_atom_site_fract_z
Th1 0.000 0.000 0.000
Ag1 0.000 0.250 0.330
Au1 0.000 0.250 0.663
```

Top 6 peaks for 15 to 90 degrees two-theta, sorted by position:
- (1 2 1), 2.648 Å, 2θ 33.8, I = 1000
- (1 0 3), 2.427 Å, 2θ 37.0, I = 520
- (2 0 0), 2.414 Å, 2θ 37.2, I = 257
- (2 2 2), 1.785 Å, 2θ 51.2, I = 204
- (3 0 3), 1.396 Å, 2θ 67.0, I = 278
- (1 6 1), 1.099 Å, 2θ 89.1, I = 115

=====

Entry 7:
Computed powder diffractogram
Compound: Th3Ag2Au6
Radiation: Cu Kα
Structure: a crystal structure in Alexandria, relaxed with PBE
Lines closer than 0.1° are merged.

```
data_Th3Ag2Au6
_space_group_name_H-M_alt 'I 4/m m m'
_space_group_IT_number 139
_space_group_name_Hall '-I 4 2'
_cell_length_a 4.383
_cell_length_b 4.383
_cell_length_c 26.684
_cell_angle_alpha 90.00
_cell_angle_beta 90.00
_cell_angle_gamma 90.00
loop_
_atom_site_label
_atom_site_fract_x
_atom_site_fract_y
_atom_site_fract_z
Th1 0.000 0.000 0.000
Th2 0.000 0.000 0.197
Ag1 0.000 0.000 0.451
Au1 0.000 0.000 0.311
Au2 0.000 0.500 0.112
```

Top 6 peaks for 15 to 90 degrees two-theta, sorted by position:
- (1 1 4), 2.811 Å, 2θ 31.8, I = 1000
- (0 0 10), 2.668 Å, 2θ 33.6, I = 269
- (1 1 6), 2.543 Å, 2θ 35.3, I = 531
- (1 1 8), 2.270 Å, 2θ 39.7, I = 767
- (2 0 0), 2.191 Å, 2θ 41.2, I = 793
- (2 0 10), 1.694 Å, 2θ 54.2, I = 288

=====

Entry 8:
Computed powder diffractogram
Compound: ZrTiAgAu
Radiation: Cu Kα
Structure: a crystal structure in Alexandria, relaxed with PBE
Lines closer than 0.1° are merged.

```
data_ZrTiAgAu
_space_group_name_H-M_alt 'P 4 m m'
_space_group_IT_number 99
_cell_length_a 3.445
_cell_length_b 3.445
_cell_length_c 6.329
_cell_angle_alpha 90.00
_cell_angle_beta 90.00
_cell_angle_gamma 90.00
loop_
_space_group_symop_operation_xyz
'x,y,z'
'-y,x,z'
'-x,-y,z'
'y,-x,z'
'-x,y,z'
'y,x,z'
'x,-y,z'
'-y,-x,z'
loop_
_atom_site_label
_atom_site_fract_x
_atom_site_fract_y
_atom_site_fract_z
Zr1 0.000 0.000 0.000
Ti1 0.500 0.500 0.279
Ag1 0.000 0.000 0.502
Au1 0.500 0.500 0.754
```

Top 6 peaks for 15 to 90 degrees two-theta, sorted by position:
- (1 0 1), 3.026 Å, 2θ 29.5, I = 228
- (1 1 0), 2.436 Å, 2θ 36.9, I = 575
- (1 0 2), 2.330 Å, 2θ 38.6, I = 1000
- (2 0 0), 1.722 Å, 2θ 53.2, I = 196
- (2 1 2), 1.385 Å, 2θ 67.6, I = 371
- (1 1 4), 1.327 Å, 2θ 71.0, I = 156

=====

Entry 9:
Computed powder diffractogram
Compound: TlAg2Au4
Radiation: Cu Kα
Structure: a crystal structure in Alexandria, relaxed with PBE
Lines closer than 0.1° are merged.

```
data_TlAg2Au4
_space_group_name_H-M_alt 'F m m m'
_space_group_IT_number 69
_space_group_name_Hall '-F 2 2'
_cell_length_a 5.559
_cell_length_b 10.099
_cell_length_c 10.149
_cell_angle_alpha 90.00
_cell_angle_beta 90.00
_cell_angle_gamma 90.00
loop_
_atom_site_label
_atom_site_fract_x
_atom_site_fract_y
_atom_site_fract_z
Tl1 0.000 0.000 0.000
Ag1 0.000 0.196 0.500
Au1 0.000 0.000 0.298
Au2 0.250 0.250 0.250
```

Top 6 peaks for 15 to 90 degrees two-theta, sorted by position:
- (1 1 3), 2.779 Å, 2θ 32.2, I = 464
- (0 0 4), 2.537 Å, 2θ 35.4, I = 357
- (0 4 0), 2.525 Å, 2θ 35.6, I = 414
- (2 2 0), 2.436 Å, 2θ 36.9, I = 627
- (2 2 2), 2.194 Å, 2θ 41.1, I = 1000
- (2 2 4), 1.756 Å, 2θ 52.1, I = 220

=====

Entry 10:
Computed powder diffractogram
Compound: TlAgAu
Radiation: Cu Kα
Structure: a crystal structure in Alexandria, relaxed with PBE
Lines closer than 0.1° are merged.

```
data_TlAgAu
_space_group_name_H-M_alt 'P 4/n m m'
_space_group_IT_number 129
_cell_length_a 4.198
_cell_length_b 4.198
_cell_length_c 7.579
_cell_angle_alpha 90.00
_cell_angle_beta 90.00
_cell_angle_gamma 90.00
loop_
_space_group_symop_operation_xyz
'x,y,z'
'-x,-y,-z'
'-y+1/2,x,z'
'y+1/2,-x,-z'
'-x+1/2,-y+1/2,z'
'x+1/2,y+1/2,-z'
'y,-x+1/2,z'
'-y,x+1/2,-z'
'x+1/2,-y,-z'
'-x+1/2,y,z'
'-y,-x,-z'
'y,x,z'
'-x,y+1/2,-z'
'x,-y+1/2,z'
'y+1/2,x+1/2,-z'
'-y+1/2,-x+1/2,z'
loop_
_atom_site_label
_atom_site_fract_x
_atom_site_fract_y
_atom_site_fract_z
Tl1 0.250 0.250 0.151
Ag1 0.250 0.750 0.500
Au1 0.250 0.250 0.762
```

Top 6 peaks for 15 to 90 degrees two-theta, sorted by position:
- (1 1 0), 2.969 Å, 2θ 30.1, I = 556
- (1 0 2), 2.813 Å, 2θ 31.8, I = 304
- (1 1 1), 2.764 Å, 2θ 32.4, I = 682
- (1 1 2), 2.337 Å, 2θ 38.5, I = 1000
- (1 0 3), 2.165 Å, 2θ 41.7, I = 366
- (2 0 0), 2.099 Å, 2θ 43.1, I = 684

=====

Entry 11:
Computed powder diffractogram
Compound: TlAg4Au7
Radiation: Cu Kα
Structure: a crystal structure in Alexandria, relaxed with PBE
Lines closer than 0.1° are merged.

```
data_TlAg4Au7
_space_group_name_H-M_alt 'C 1 2/m 1'
_space_group_IT_number 12
_cell_length_a 10.538
_cell_length_b 5.208
_cell_length_c 10.223
_cell_angle_alpha 90.00
_cell_angle_beta 119.11
_cell_angle_gamma 90.00
loop_
_space_group_symop_operation_xyz
'x,y,z'
'-x,-y,-z'
'-x,y,-z'
'x,-y,z'
'x+1/2,y+1/2,z'
'-x+1/2,-y+1/2,-z'
'-x+1/2,y+1/2,-z'
'x+1/2,-y+1/2,z'
loop_
_atom_site_label
_atom_site_fract_x
_atom_site_fract_y
_atom_site_fract_z
Tl1 0.000 0.000 0.000
Ag1 0.086 0.500 0.317
Ag2 0.181 0.000 0.771
Au1 0.000 0.500 0.000
Au2 0.115 0.000 0.463
Au3 0.164 0.500 0.621
Au4 0.206 0.500 0.912
```

Top 6 peaks for 15 to 90 degrees two-theta, sorted by position:
- (0 2 0), 2.604 Å, 2θ 34.4, I = 1000
- (4 0 -1), 2.549 Å, 2θ 35.2, I = 871
- (1 1 3), 2.253 Å, 2θ 40.0, I = 938
- (3 1 -4), 2.227 Å, 2θ 40.5, I = 925
- (4 2 -1), 1.822 Å, 2θ 50.1, I = 687
- (2 0 -7), 1.420 Å, 2θ 65.8, I = 370

=====

Entry 12:
Computed powder diffractogram
Compound: TlAg8Au2
Radiation: Cu Kα
Structure: a crystal structure in Alexandria, relaxed with PBE
Lines closer than 0.1° are merged.

```
data_TlAg8Au2
_space_group_name_H-M_alt 'C 1 2/m 1'
_space_group_IT_number 12
_cell_length_a 10.639
_cell_length_b 9.717
_cell_length_c 4.877
_cell_angle_alpha 90.00
_cell_angle_beta 104.66
_cell_angle_gamma 90.00
loop_
_space_group_symop_operation_xyz
'x,y,z'
'-x,-y,-z'
'-x,y,-z'
'x,-y,z'
'x+1/2,y+1/2,z'
'-x+1/2,-y+1/2,-z'
'-x+1/2,y+1/2,-z'
'x+1/2,-y+1/2,z'
loop_
_atom_site_label
_atom_site_fract_x
_atom_site_fract_y
_atom_site_fract_z
Tl1 0.000 0.000 0.000
Ag1 0.073 0.500 0.290
Ag2 0.083 0.255 0.788
Ag3 0.217 0.500 0.867
Au1 0.152 0.000 0.565
```

Top 6 peaks for 15 to 90 degrees two-theta, sorted by position:
- (0 2 0), 4.858 Å, 2θ 18.3, I = 585
- (2 0 1), 3.103 Å, 2θ 28.8, I = 425
- (0 4 0), 2.429 Å, 2θ 37.0, I = 646
- (3 1 1), 2.413 Å, 2θ 37.3, I = 601
- (1 1 -2), 2.364 Å, 2θ 38.1, I = 602
- (4 2 -1), 2.255 Å, 2θ 40.0, I = 1000